This entry pairs a crystal structure of PmPu3 with its theoretical PXRD pattern. Radiation: Cu Kα. Structure: a crystal structure in the Materials Project, relaxed with GGA-PBE.
Lines closer than 0.1° are merged.

Structural model:
a b c (Å): 6.0206 6.0206 6.0206
angles (deg): 132.57 132.57 69.32
Atoms (fractional coordinates):
Pm: 0.0000 0.0000 0.0000
Pu: 0.2500 0.7500 0.5000
Pu: 0.5000 0.5000 0.0000
Pu: 0.7500 0.2500 0.5000

Peak list (10 most intense, 2θ = 10–80°, low angle first)
d_spacing	2θ/deg	I/Imax
4.350	20.4	3
2.816	31.8	100
2.476	36.3	18
2.421	37.1	33
1.731	52.9	25
1.712	53.5	12
1.487	62.5	15
1.463	63.6	29
1.408	66.4	13
1.211	79.1	4